Diffraction record for Cs3Tb2I9. The X-ray powder pattern is simulated, not measured: it uses a PBE-relaxed structure and copper Kα.

Most intense lines, 10 to 80 degrees two-theta, low angle first:
- 11.9 deg, rel. 16, (1 1 0)
- 24.5 deg, rel. 20, (0 0 6)
- 26.9 deg, rel. 100, (2 2 3)
- 34.5 deg, rel. 34, (2 2 6)
- 42.0 deg, rel. 29, (6 0 0)
- 44.7 deg, rel. 23, (2 2 9)
- 49.2 deg, rel. 15, (6 0 6)
- 50.6 deg, rel. 16, (4 4 3)
- 67.5 deg, rel. 11, (6 0 12)
- 67.8 deg, rel. 13, (8 2 3)

Structural model:
abc: 14.8996 14.8996 21.7786
angles: 90.00 90.00 120.00
Space group R-3c (No. 167, hexagonal axes)
Asymmetric unit:
Cs 0.0000 0.3379 0.2500 x18
Tb 0.0000 0.0000 0.1549 x12
I 0.0000 0.1593 0.7500 x18
I 0.0062 0.1775 0.4103 x36